1.
Structure and calculated XRD peak list of Li3Hf3CrS8 (a cell relaxed with GGA-PBE; Cu Kα X-rays).
Kinematic intensities with the Lorentz-polarization factor, no thermal factor.

Structural model:
```
15
Lattice="3.560 2.055 6.242 -3.560 2.055 6.242 0.000 -4.110 6.242" Properties=species:S:1:pos:R:3 pbc="T T T"
Li -1.780 -1.028 6.242
Li -1.780 1.028 12.484
Li 0.000 2.055 6.242
Hf -3.560 0.000 9.363
Hf -1.780 1.028 3.121
Hf 1.780 1.028 3.121
Cr 0.000 0.000 9.363
S 0.000 0.000 4.664
S -1.709 -0.986 10.826
S 0.000 -1.973 7.900
S -1.709 0.986 7.900
S 1.709 -0.986 10.826
S 0.000 1.973 10.826
S 1.709 0.986 7.900
S 0.000 0.000 14.062
```

Largest 8 diffraction maxima, in order of rising 2θ, 15° ≤ 2θ ≤ 90°:
2θ (°)  I (rel.)
29.36  67
30.53  21
34.85  100
37.80  31
44.86  25
48.85  37
51.33  32
53.54  27

---

2.
Structure and calculated XRD peak list of Hf2MnCr3 (a cell relaxed with GGA-PBE; Cu Kα X-rays).
Kinematic intensities with the Lorentz-polarization factor, no thermal factor.

Structural model:
```
6
Lattice="4.317 -2.494 0.000 4.317 2.494 0.000 -2.883 0.000 4.078" Properties=species:S:1:pos:R:3 pbc="T T T"
Hf -0.001 0.000 1.534
Hf 5.753 0.000 2.545
Mn 2.876 0.000 2.039
Cr 2.159 1.247 0.000
Cr 2.159 -1.247 0.000
Cr 4.317 0.000 0.000
```

Largest 8 diffraction maxima, in order of rising 2θ, 15° ≤ 2θ ≤ 90°:
2θ (°)  I (rel.)
21.82  27
36.00  77
42.49  100
64.69  17
64.76  12
69.15  17
69.23  13
76.30  11

---

3.
Structure and calculated XRD peak list of HfCrMo (a cell relaxed with GGA-PBE; Cu Kα X-rays).
Kinematic intensities with the Lorentz-polarization factor, no thermal factor.

Structural model:
```
6
Lattice="-2.575 2.636 3.654 2.575 -2.636 3.654 2.575 2.636 -3.654" Properties=species:S:1:pos:R:3 pbc="T T T"
Hf 0.000 1.318 0.898
Hf 2.575 1.318 2.755
Cr 1.287 1.318 -1.827
Cr 1.287 -1.318 1.827
Mo 2.575 0.000 0.000
Mo 0.000 0.000 3.654
```

Largest 8 diffraction maxima, in order of rising 2θ, 15° ≤ 2θ ≤ 90°:
2θ (°)  I (rel.)
20.78  23
34.58  90
34.85  35
40.37  95
40.81  31
40.95  100
66.22  22
72.93  34